No. 1
Simulated X-ray powder pattern
Compound: PrSc3B4O12
Radiation: Cu Kα
Structure: a GGA-PBE-relaxed structure
Neutral-atom scattering factors, no anomalous dispersion.

Principal peaks in the range 2θ = 10–90°, sorted by position:
d_spacing, Position (°2θ), I/Imax
5.937, 14.9, 28
5.784, 15.3, 16
4.644, 19.1, 17
3.752, 23.7, 39
3.719, 23.9, 22
3.030, 29.5, 13
2.892, 30.9, 100
2.446, 36.7, 17
1.794, 50.9, 22
1.787, 51.1, 17

Cell and atoms:
abc: 6.253 6.253 11.967
angles: 99.05 99.05 104.07
Positions (direct):
1 Pr 0.035 0.965 0.750
2 Pr 0.965 0.035 0.250
3 Sc 0.202 0.702 0.475
4 Sc 0.298 0.798 0.025
5 Sc 0.426 0.574 0.250
6 Sc 0.574 0.426 0.750
7 Sc 0.702 0.202 0.975
8 Sc 0.798 0.298 0.525
9 B 0.102 0.494 0.774
10 B 0.221 0.270 0.000
11 B 0.270 0.221 0.500
12 B 0.494 0.102 0.274
13 B 0.506 0.898 0.726
14 B 0.730 0.779 0.500
15 B 0.779 0.730 0.000
16 B 0.898 0.506 0.226
17 O 0.008 0.187 0.931
18 O 0.111 0.567 0.295
19 O 0.132 0.363 0.495
20 O 0.167 0.696 0.852
21 O 0.187 0.008 0.431
22 O 0.239 0.354 0.760
23 O 0.293 0.483 0.068
24 O 0.304 0.833 0.648
25 O 0.354 0.239 0.260
26 O 0.363 0.132 0.995
27 O 0.433 0.889 0.205
28 O 0.483 0.293 0.568
29 O 0.517 0.707 0.432
30 O 0.567 0.111 0.795
31 O 0.637 0.868 0.005
32 O 0.646 0.761 0.740
33 O 0.696 0.167 0.352
34 O 0.707 0.517 0.932
35 O 0.761 0.646 0.240
36 O 0.813 0.992 0.569
37 O 0.833 0.304 0.148
38 O 0.868 0.637 0.505
39 O 0.889 0.433 0.705
40 O 0.992 0.813 0.069

***

No. 2
Simulated X-ray powder pattern
Compound: Zn4B2S6O25
Radiation: Cu Kα
Structure: a GGA-PBE-relaxed structure
Neutral-atom scattering factors, no anomalous dispersion.

Principal peaks in the range 2θ = 10–90°, sorted by position:
d_spacing, Position (°2θ), I/Imax
6.864, 12.9, 36
3.963, 22.4, 41
3.500, 25.5, 100
3.277, 27.2, 33
3.118, 28.6, 26
2.716, 33.0, 79
2.288, 39.4, 30
2.013, 45.0, 24
1.795, 50.9, 22
1.750, 52.3, 27

Cell and atoms:
abc: 7.926 7.926 7.459
angles: 90.00 90.00 120.00
Positions (direct):
1 Zn 0.333 0.667 0.049
2 Zn 0.333 0.667 0.457
3 Zn 0.667 0.333 0.543
4 Zn 0.667 0.333 0.951
5 B 0.000 0.000 0.319
6 B 0.000 0.000 0.681
7 S 0.041 0.690 0.752
8 S 0.310 0.350 0.752
9 S 0.350 0.041 0.248
10 S 0.650 0.959 0.752
11 S 0.690 0.650 0.248
12 S 0.959 0.310 0.248
13 O 0.000 0.000 0.500
14 O 0.068 0.198 0.238
15 O 0.114 0.519 0.251
16 O 0.129 0.932 0.238
17 O 0.157 0.736 0.915
18 O 0.157 0.743 0.588
19 O 0.198 0.129 0.762
20 O 0.257 0.414 0.588
21 O 0.264 0.421 0.915
22 O 0.406 0.886 0.251
23 O 0.414 0.157 0.412
24 O 0.421 0.157 0.085
25 O 0.481 0.594 0.251
26 O 0.519 0.406 0.749
27 O 0.579 0.843 0.915
28 O 0.586 0.843 0.588
29 O 0.594 0.114 0.749
30 O 0.736 0.579 0.085
31 O 0.743 0.586 0.412
32 O 0.802 0.871 0.238
33 O 0.843 0.257 0.412
34 O 0.843 0.264 0.085
35 O 0.871 0.068 0.762
36 O 0.886 0.481 0.749
37 O 0.932 0.802 0.762